Starting from DFT lattice parameters and positions (PBE), the powder diffractogram of Sr3YTi2O9 was computed for copper Kα.

Most intense lines, 10° ≤ 2θ ≤ 90°, low angle first:
- d = 2.940 Å, rel. 100
- d = 2.875 Å, rel. 94
- d = 2.356 Å, rel. 19
- d = 2.055 Å, rel. 75
- d = 1.672 Å, rel. 36
- d = 1.660 Å, rel. 18
- d = 1.437 Å, rel. 21
- d = 1.291 Å, rel. 16

Atomic structure:
```
data_Sr3YTi2O9
_symmetry_space_group_name_H-M 'P 1'
_symmetry_Int_Tables_number 1
_symmetry_space_group_name_Hall 'P 1'
_cell_length_a 5.749
_cell_length_b 5.749
_cell_length_c 7.286
_cell_angle_alpha 90.00
_cell_angle_beta 90.00
_cell_angle_gamma 120.00
loop_
_atom_site_label
_atom_site_fract_x
_atom_site_fract_y
_atom_site_fract_z
_atom_site_occupancy
Sr1 0.000 0.000 0.000 1
Sr2 0.333 0.667 0.712 1
Sr3 0.667 0.333 0.288 1
Y1 0.000 0.000 0.500 1
Ti1 0.333 0.667 0.170 1
Ti2 0.667 0.333 0.830 1
O1 0.000 0.500 0.000 1
O2 0.173 0.346 0.309 1
O3 0.173 0.827 0.309 1
O4 0.346 0.173 0.691 1
O5 0.500 0.000 0.000 1
O6 0.500 0.500 0.000 1
O7 0.654 0.827 0.309 1
O8 0.827 0.173 0.691 1
O9 0.827 0.654 0.691 1
```

Starting from DFT lattice parameters and positions (PBE), the powder diffractogram of Sr4YTi3O12 was computed for copper Kα.

Most intense lines, 10° ≤ 2θ ≤ 90°, low angle first:
- d = 2.872 Å, rel. 100
- d = 2.345 Å, rel. 14
- d = 2.031 Å, rel. 39
- d = 1.658 Å, rel. 38
- d = 1.436 Å, rel. 23
- d = 1.284 Å, rel. 17
- d = 1.225 Å, rel. 4
- d = 1.173 Å, rel. 7

Atomic structure:
```
data_Sr4YTi3O12
_symmetry_space_group_name_H-M 'P 1'
_symmetry_Int_Tables_number 1
_symmetry_space_group_name_Hall 'P 1'
_cell_length_a 7.035
_cell_length_b 7.035
_cell_length_c 7.035
_cell_angle_alpha 109.47
_cell_angle_beta 109.47
_cell_angle_gamma 109.47
loop_
_atom_site_label
_atom_site_fract_x
_atom_site_fract_y
_atom_site_fract_z
_atom_site_occupancy
Sr1 0.000 0.000 0.500 1
Sr2 0.000 0.500 0.000 1
Sr3 0.500 0.000 0.000 1
Sr4 0.500 0.500 0.500 1
Y1 0.000 0.000 0.000 1
Ti1 0.000 0.500 0.500 1
Ti2 0.500 0.000 0.500 1
Ti3 0.500 0.500 0.000 1
O1 0.000 0.268 0.268 1
O2 0.000 0.732 0.732 1
O3 0.250 0.500 0.750 1
O4 0.250 0.750 0.500 1
O5 0.268 0.000 0.268 1
O6 0.268 0.268 0.000 1
O7 0.500 0.250 0.750 1
O8 0.500 0.750 0.250 1
O9 0.732 0.000 0.732 1
O10 0.732 0.732 0.000 1
O11 0.750 0.250 0.500 1
O12 0.750 0.500 0.250 1
```

Starting from DFT lattice parameters and positions (PBE), the powder diffractogram of Sr4ZrTi3O12 was computed for copper Kα.

Most intense lines, 10° ≤ 2θ ≤ 90°, low angle first:
- d = 2.840 Å, rel. 100
- d = 2.829 Å, rel. 49
- d = 2.316 Å, rel. 20
- d = 2.016 Å, rel. 20
- d = 2.000 Å, rel. 38
- d = 1.642 Å, rel. 19
- d = 1.635 Å, rel. 37
- d = 1.420 Å, rel. 22

Atomic structure:
```
data_Sr4ZrTi3O12
_symmetry_space_group_name_H-M 'P 1'
_symmetry_Int_Tables_number 1
_symmetry_space_group_name_Hall 'P 1'
_cell_length_a 4.033
_cell_length_b 5.657
_cell_length_c 11.318
_cell_angle_alpha 90.00
_cell_angle_beta 90.00
_cell_angle_gamma 90.00
loop_
_atom_site_label
_atom_site_fract_x
_atom_site_fract_y
_atom_site_fract_z
_atom_site_occupancy
Sr1 0.000 0.000 0.000 1
Sr2 0.000 0.000 0.500 1
Sr3 0.000 0.500 0.238 1
Sr4 0.000 0.500 0.762 1
Zr1 0.500 0.500 0.500 1
Ti1 0.500 0.000 0.245 1
Ti2 0.500 0.000 0.755 1
Ti3 0.500 0.500 0.000 1
O1 0.000 0.000 0.241 1
O2 0.000 0.000 0.759 1
O3 0.000 0.500 0.000 1
O4 0.000 0.500 0.500 1
O5 0.500 0.239 0.368 1
O6 0.500 0.239 0.632 1
O7 0.500 0.253 0.123 1
O8 0.500 0.253 0.877 1
O9 0.500 0.747 0.123 1
O10 0.500 0.747 0.877 1
O11 0.500 0.761 0.368 1
O12 0.500 0.761 0.632 1
```

Starting from DFT lattice parameters and positions (PBE), the powder diffractogram of Sr4ZrTi3O12 was computed for copper Kα.

Most intense lines, 10° ≤ 2θ ≤ 90°, low angle first:
- d = 2.848 Å, rel. 52
- d = 2.836 Å, rel. 100
- d = 2.319 Å, rel. 20
- d = 2.014 Å, rel. 41
- d = 1.997 Å, rel. 18
- d = 1.642 Å, rel. 39
- d = 1.635 Å, rel. 17
- d = 1.418 Å, rel. 21

Atomic structure:
```
data_Sr4ZrTi3O12
_symmetry_space_group_name_H-M 'P 1'
_symmetry_Int_Tables_number 1
_symmetry_space_group_name_Hall 'P 1'
_cell_length_a 4.027
_cell_length_b 4.027
_cell_length_c 15.975
_cell_angle_alpha 90.00
_cell_angle_beta 90.00
_cell_angle_gamma 90.00
loop_
_atom_site_label
_atom_site_fract_x
_atom_site_fract_y
_atom_site_fract_z
_atom_site_occupancy
Sr1 0.000 0.000 0.121 1
Sr2 0.000 0.000 0.364 1
Sr3 0.000 0.000 0.636 1
Sr4 0.000 0.000 0.879 1
Zr1 0.500 0.500 0.500 1
Ti1 0.500 0.500 0.000 1
Ti2 0.500 0.500 0.245 1
Ti3 0.500 0.500 0.755 1
O1 0.000 0.500 0.000 1
O2 0.000 0.500 0.244 1
O3 0.000 0.500 0.500 1
O4 0.000 0.500 0.756 1
O5 0.500 0.000 0.000 1
O6 0.500 0.000 0.244 1
O7 0.500 0.000 0.500 1
O8 0.500 0.000 0.756 1
O9 0.500 0.500 0.122 1
O10 0.500 0.500 0.366 1
O11 0.500 0.500 0.634 1
O12 0.500 0.500 0.878 1
```